1.
The following is a calculated powder XRD pattern of Ho4Hg. It was derived from a cell relaxed with PBE, using copper Kα.
Lines closer than 0.1° are merged.

Main lines, by angle (2θ = 15–90°):
2θ/deg, I (rel.)
22.99, 33
30.36, 20
31.18, 84
31.76, 100
33.32, 40
36.20, 70
37.08, 32
46.25, 17
46.39, 24
51.73, 19
58.91, 44
60.70, 22

Structural model:
```
data_Ho4Hg
_chemical_formula_sum 'Ho8 Hg2'
_cell_length_a 8.684
_cell_length_b 8.684
_cell_length_c 8.684
_cell_angle_alpha 136.63
_cell_angle_beta 136.63
_cell_angle_gamma 63.01
_space_group_name_H-M_alt 'P 1'
_space_group_IT_number 1
loop_
_space_group_symop_operation_xyz
'x,y,z'
loop_
_atom_site_label
_atom_site_type_symbol
_atom_site_fract_x
_atom_site_fract_y
_atom_site_fract_z
Ho1 Ho 0.155 0.796 0.859
Ho2 Ho 0.204 0.345 0.141
Ho3 Ho 0.296 0.937 0.641
Ho4 Ho 0.437 0.296 0.641
Ho5 Ho 0.563 0.704 0.359
Ho6 Ho 0.704 0.063 0.359
Ho7 Ho 0.796 0.655 0.859
Ho8 Ho 0.845 0.204 0.141
Hg1 Hg 0.125 0.375 0.750
Hg2 Hg 0.875 0.625 0.250
```


2.
The following is a calculated powder XRD pattern of HoHg5. It was derived from a cell relaxed with PBE, using copper Kα.
Lines closer than 0.1° are merged.

Main lines, by angle (2θ = 15–90°):
2θ/deg, I (rel.)
32.78, 25
33.67, 48
35.00, 100
35.17, 50
35.29, 43
36.03, 20
48.84, 17
51.23, 15
63.00, 19
66.00, 15
69.09, 14
71.91, 13

Structural model:
```
data_HoHg5
_chemical_formula_sum 'Ho1 Hg5'
_cell_length_a 5.145
_cell_length_b 5.145
_cell_length_c 6.456
_cell_angle_alpha 94.80
_cell_angle_beta 94.80
_cell_angle_gamma 59.46
_space_group_name_H-M_alt 'P 1'
_space_group_IT_number 1
loop_
_space_group_symop_operation_xyz
'x,y,z'
loop_
_atom_site_label
_atom_site_type_symbol
_atom_site_fract_x
_atom_site_fract_y
_atom_site_fract_z
Ho1 Ho 0.000 0.000 0.000
Hg1 Hg 0.000 0.000 0.500
Hg2 Hg 0.329 0.329 0.758
Hg3 Hg 0.340 0.340 0.242
Hg4 Hg 0.660 0.660 0.758
Hg5 Hg 0.671 0.671 0.242
```


3.
The following is a calculated powder XRD pattern of HoHg7. It was derived from a cell relaxed with PBE, using copper Kα.
Lines closer than 0.1° are merged.

Main lines, by angle (2θ = 15–90°):
2θ/deg, I (rel.)
33.57, 100
37.87, 18
39.49, 32
55.87, 24
57.07, 11
65.67, 15
67.86, 27
70.55, 12
80.94, 2
85.00, 4

Structural model:
```
data_HoHg7
_chemical_formula_sum 'Ho1 Hg7'
_cell_length_a 10.035
_cell_length_b 10.035
_cell_length_c 10.035
_cell_angle_alpha 153.71
_cell_angle_beta 153.71
_cell_angle_gamma 37.52
_space_group_name_H-M_alt 'P 1'
_space_group_IT_number 1
loop_
_space_group_symop_operation_xyz
'x,y,z'
loop_
_atom_site_label
_atom_site_type_symbol
_atom_site_fract_x
_atom_site_fract_y
_atom_site_fract_z
Ho1 Ho 0.000 0.000 0.000
Hg1 Hg 0.123 0.623 0.500
Hg2 Hg 0.251 0.251 0.000
Hg3 Hg 0.377 0.877 0.500
Hg4 Hg 0.500 0.500 0.000
Hg5 Hg 0.623 0.123 0.500
Hg6 Hg 0.749 0.749 0.000
Hg7 Hg 0.877 0.377 0.500
```


4.
The following is a calculated powder XRD pattern of Ho3Hg4. It was derived from a cell relaxed with PBE, using copper Kα.
Lines closer than 0.1° are merged.

Main lines, by angle (2θ = 15–90°):
2θ/deg, I (rel.)
24.20, 12
31.40, 100
37.35, 93
45.00, 12
49.57, 24
51.74, 15
63.68, 29
65.53, 12
67.36, 17
70.96, 9
74.47, 9
77.93, 10

Structural model:
```
data_Ho3Hg4
_chemical_formula_sum 'Ho6 Hg8'
_cell_length_a 7.802
_cell_length_b 7.802
_cell_length_c 7.802
_cell_angle_alpha 109.47
_cell_angle_beta 109.47
_cell_angle_gamma 109.47
_space_group_name_H-M_alt 'P 1'
_space_group_IT_number 1
loop_
_space_group_symop_operation_xyz
'x,y,z'
loop_
_atom_site_label
_atom_site_type_symbol
_atom_site_fract_x
_atom_site_fract_y
_atom_site_fract_z
Ho1 Ho 0.125 0.750 0.875
Ho2 Ho 0.250 0.625 0.375
Ho3 Ho 0.375 0.250 0.625
Ho4 Ho 0.625 0.375 0.250
Ho5 Ho 0.750 0.875 0.125
Ho6 Ho 0.875 0.125 0.750
Hg1 Hg 0.000 0.333 0.500
Hg2 Hg 0.000 0.833 0.500
Hg3 Hg 0.167 0.167 0.167
Hg4 Hg 0.333 0.500 0.000
Hg5 Hg 0.500 0.000 0.333
Hg6 Hg 0.500 0.000 0.833
Hg7 Hg 0.667 0.667 0.667
Hg8 Hg 0.833 0.500 0.000
```


5.
The following is a calculated powder XRD pattern of Ho3Hg4. It was derived from a cell relaxed with PBE, using copper Kα.
Lines closer than 0.1° are merged.

Main lines, by angle (2θ = 15–90°):
2θ/deg, I (rel.)
20.52, 8
24.49, 14
34.40, 100
35.40, 95
50.19, 37
60.98, 18
62.91, 37
63.54, 18
72.52, 11
74.89, 11
83.37, 16
85.08, 16

Structural model:
```
data_Ho3Hg4
_chemical_formula_sum 'Ho3 Hg4'
_cell_length_a 9.120
_cell_length_b 9.120
_cell_length_c 9.120
_cell_angle_alpha 32.29
_cell_angle_beta 32.29
_cell_angle_gamma 32.29
_space_group_name_H-M_alt 'P 1'
_space_group_IT_number 1
loop_
_space_group_symop_operation_xyz
'x,y,z'
loop_
_atom_site_label
_atom_site_type_symbol
_atom_site_fract_x
_atom_site_fract_y
_atom_site_fract_z
Ho1 Ho 0.000 0.000 0.000
Ho2 Ho 0.245 0.245 0.245
Ho3 Ho 0.755 0.755 0.755
Hg1 Hg 0.127 0.127 0.127
Hg2 Hg 0.375 0.375 0.375
Hg3 Hg 0.625 0.625 0.625
Hg4 Hg 0.873 0.873 0.873
```


6.
The following is a calculated powder XRD pattern of Ho2HgI2. It was derived from a cell relaxed with PBE, using copper Kα.
Lines closer than 0.1° are merged.

Main lines, by angle (2θ = 15–90°):
2θ/deg, I (rel.)
27.97, 100
32.09, 45
35.51, 21
41.37, 42
44.06, 39
45.45, 11
53.01, 17
62.03, 13
65.18, 29
71.32, 14
73.50, 14
79.19, 13

Structural model:
```
data_Ho2HgI2
_chemical_formula_sum 'Ho2 Hg1 I2'
_cell_length_a 12.206
_cell_length_b 12.206
_cell_length_c 12.206
_cell_angle_alpha 19.39
_cell_angle_beta 19.39
_cell_angle_gamma 19.39
_space_group_name_H-M_alt 'P 1'
_space_group_IT_number 1
loop_
_space_group_symop_operation_xyz
'x,y,z'
loop_
_atom_site_label
_atom_site_type_symbol
_atom_site_fract_x
_atom_site_fract_y
_atom_site_fract_z
Ho1 Ho 0.114 0.114 0.114
Ho2 Ho 0.886 0.886 0.886
Hg1 Hg 0.500 0.500 0.500
I1 I 0.276 0.276 0.276
I2 I 0.724 0.724 0.724
```


7.
The following is a calculated powder XRD pattern of HoHgI3. It was derived from a cell relaxed with PBE, using copper Kα.
Lines closer than 0.1° are merged.

Main lines, by angle (2θ = 15–90°):
2θ/deg, I (rel.)
16.33, 43
20.18, 30
23.09, 27
24.01, 100
26.50, 37
27.23, 27
28.37, 80
33.48, 36
33.62, 36
35.08, 27
41.06, 31
49.12, 29

Structural model:
```
data_HoHgI3
_chemical_formula_sum 'Ho4 Hg4 I12'
_cell_length_a 11.175
_cell_length_b 11.175
_cell_length_c 7.704
_cell_angle_alpha 90.21
_cell_angle_beta 90.21
_cell_angle_gamma 76.23
_space_group_name_H-M_alt 'P 1'
_space_group_IT_number 1
loop_
_space_group_symop_operation_xyz
'x,y,z'
loop_
_atom_site_label
_atom_site_type_symbol
_atom_site_fract_x
_atom_site_fract_y
_atom_site_fract_z
Ho1 Ho 0.169 0.331 0.071
Ho2 Ho 0.331 0.169 0.571
Ho3 Ho 0.669 0.831 0.429
Ho4 Ho 0.831 0.669 0.929
Hg1 Hg 0.224 0.776 0.250
Hg2 Hg 0.277 0.723 0.750
Hg3 Hg 0.723 0.277 0.250
Hg4 Hg 0.776 0.224 0.750
I1 I 0.032 0.468 0.760
I2 I 0.102 0.169 0.356
I3 I 0.169 0.102 0.856
I4 I 0.331 0.398 0.358
I5 I 0.398 0.331 0.858
I6 I 0.468 0.032 0.260
I7 I 0.532 0.968 0.740
I8 I 0.602 0.669 0.142
I9 I 0.669 0.602 0.642
I10 I 0.831 0.898 0.144
I11 I 0.898 0.831 0.644
I12 I 0.968 0.532 0.240
```


8.
The following is a calculated powder XRD pattern of HoInHg6. It was derived from a cell relaxed with PBE, using copper Kα.
Lines closer than 0.1° are merged.

Main lines, by angle (2θ = 15–90°):
2θ/deg, I (rel.)
18.49, 1
27.83, 1
33.62, 100
37.48, 37
41.95, 14
54.05, 13
57.50, 22
65.18, 30
70.68, 12
71.33, 12
79.97, 4
89.60, 7

Structural model:
```
data_HoInHg6
_chemical_formula_sum 'Ho1 In1 Hg6'
_cell_length_a 4.799
_cell_length_b 4.799
_cell_length_c 8.614
_cell_angle_alpha 90.00
_cell_angle_beta 90.00
_cell_angle_gamma 90.00
_space_group_name_H-M_alt 'P 1'
_space_group_IT_number 1
loop_
_space_group_symop_operation_xyz
'x,y,z'
loop_
_atom_site_label
_atom_site_type_symbol
_atom_site_fract_x
_atom_site_fract_y
_atom_site_fract_z
Ho1 Ho 0.000 0.000 0.000
In1 In 0.000 0.000 0.500
Hg1 Hg 0.000 0.500 0.248
Hg2 Hg 0.000 0.500 0.752
Hg3 Hg 0.500 0.000 0.248
Hg4 Hg 0.500 0.000 0.752
Hg5 Hg 0.500 0.500 0.000
Hg6 Hg 0.500 0.500 0.500
```


9.
The following is a calculated powder XRD pattern of Ho2In9Hg. It was derived from a cell relaxed with PBE, using copper Kα.
Lines closer than 0.1° are merged.

Main lines, by angle (2θ = 15–90°):
2θ/deg, I (rel.)
19.27, 2
26.78, 2
33.20, 100
37.32, 18
39.11, 32
55.17, 22
56.51, 11
64.71, 13
67.14, 25
69.70, 11
79.58, 2
84.05, 3

Structural model:
```
data_Ho2In9Hg
_chemical_formula_sum 'Ho2 In9 Hg1'
_cell_length_a 4.606
_cell_length_b 4.606
_cell_length_c 14.455
_cell_angle_alpha 90.00
_cell_angle_beta 90.00
_cell_angle_gamma 90.00
_space_group_name_H-M_alt 'P 1'
_space_group_IT_number 1
loop_
_space_group_symop_operation_xyz
'x,y,z'
loop_
_atom_site_label
_atom_site_type_symbol
_atom_site_fract_x
_atom_site_fract_y
_atom_site_fract_z
Ho1 Ho 0.000 0.000 0.159
Ho2 Ho 0.000 0.000 0.841
In1 In 0.000 0.500 0.000
In2 In 0.000 0.500 0.327
In3 In 0.000 0.500 0.673
In4 In 0.500 0.000 0.000
In5 In 0.500 0.000 0.327
In6 In 0.500 0.000 0.673
In7 In 0.500 0.500 0.162
In8 In 0.500 0.500 0.500
In9 In 0.500 0.500 0.838
Hg1 Hg 0.000 0.000 0.500
```


10.
The following is a calculated powder XRD pattern of Ho2In5Hg12. It was derived from a cell relaxed with PBE, using copper Kα.
Lines closer than 0.1° are merged.

Main lines, by angle (2θ = 15–90°):
2θ/deg, I (rel.)
33.70, 13
34.05, 100
34.17, 100
35.62, 52
36.26, 39
46.17, 17
51.74, 30
59.79, 9
60.07, 13
62.91, 19
63.13, 17
63.85, 20

Structural model:
```
data_Ho2In5Hg12
_chemical_formula_sum 'Ho2 In5 Hg12'
_cell_length_a 11.284
_cell_length_b 11.284
_cell_length_c 5.041
_cell_angle_alpha 102.65
_cell_angle_beta 102.65
_cell_angle_gamma 52.10
_space_group_name_H-M_alt 'P 1'
_space_group_IT_number 1
loop_
_space_group_symop_operation_xyz
'x,y,z'
loop_
_atom_site_label
_atom_site_type_symbol
_atom_site_fract_x
_atom_site_fract_y
_atom_site_fract_z
Ho1 Ho 0.219 0.781 0.000
Ho2 Ho 0.781 0.219 0.000
In1 In 0.000 0.000 0.500
In2 In 0.202 0.202 0.700
In3 In 0.300 0.300 0.299
In4 In 0.700 0.700 0.701
In5 In 0.798 0.798 0.300
Hg1 Hg 0.070 0.543 0.809
Hg2 Hg 0.111 0.111 0.109
Hg3 Hg 0.191 0.630 0.412
Hg4 Hg 0.370 0.809 0.588
Hg5 Hg 0.419 0.419 0.920
Hg6 Hg 0.457 0.930 0.191
Hg7 Hg 0.543 0.070 0.809
Hg8 Hg 0.581 0.581 0.080
Hg9 Hg 0.630 0.191 0.412
Hg10 Hg 0.809 0.370 0.588
Hg11 Hg 0.889 0.889 0.891
Hg12 Hg 0.930 0.457 0.191
```


11.
The following is a calculated powder XRD pattern of HoInHg5. It was derived from a cell relaxed with PBE, using copper Kα.
Lines closer than 0.1° are merged.

Main lines, by angle (2θ = 15–90°):
2θ/deg, I (rel.)
24.92, 5
27.95, 9
35.59, 100
51.13, 12
51.40, 5
52.97, 4
63.87, 24
64.05, 11
75.23, 4
75.44, 7
86.08, 12
86.52, 4

Structural model:
```
data_HoInHg5
_chemical_formula_sum 'Ho1 In1 Hg5'
_cell_length_a 5.052
_cell_length_b 5.052
_cell_length_c 7.111
_cell_angle_alpha 90.00
_cell_angle_beta 90.00
_cell_angle_gamma 90.00
_space_group_name_H-M_alt 'P 1'
_space_group_IT_number 1
loop_
_space_group_symop_operation_xyz
'x,y,z'
loop_
_atom_site_label
_atom_site_type_symbol
_atom_site_fract_x
_atom_site_fract_y
_atom_site_fract_z
Ho1 Ho 0.000 0.000 0.000
In1 In 0.000 0.000 0.500
Hg1 Hg 0.000 0.500 0.270
Hg2 Hg 0.000 0.500 0.730
Hg3 Hg 0.500 0.000 0.270
Hg4 Hg 0.500 0.000 0.730
Hg5 Hg 0.500 0.500 0.000
```


12.
The following is a calculated powder XRD pattern of Ho5InHg6. It was derived from a cell relaxed with PBE, using copper Kα.
Lines closer than 0.1° are merged.

Main lines, by angle (2θ = 15–90°):
2θ/deg, I (rel.)
34.28, 100
34.90, 20
48.82, 8
49.72, 14
61.00, 7
61.39, 21
62.19, 15
72.24, 11
73.70, 2
81.78, 6
83.06, 3
83.22, 3

Structural model:
```
data_Ho5InHg6
_chemical_formula_sum 'Ho5 In1 Hg6'
_cell_length_a 9.060
_cell_length_b 9.060
_cell_length_c 5.142
_cell_angle_alpha 106.40
_cell_angle_beta 106.40
_cell_angle_gamma 48.63
_space_group_name_H-M_alt 'P 1'
_space_group_IT_number 1
loop_
_space_group_symop_operation_xyz
'x,y,z'
loop_
_atom_site_label
_atom_site_type_symbol
_atom_site_fract_x
_atom_site_fract_y
_atom_site_fract_z
Ho1 Ho 0.000 0.000 0.000
Ho2 Ho 0.173 0.173 0.673
Ho3 Ho 0.347 0.347 0.347
Ho4 Ho 0.653 0.653 0.653
Ho5 Ho 0.827 0.827 0.327
In1 In 0.500 0.500 0.000
Hg1 Hg 0.074 0.585 0.829
Hg2 Hg 0.235 0.765 0.500
Hg3 Hg 0.415 0.926 0.171
Hg4 Hg 0.585 0.074 0.829
Hg5 Hg 0.765 0.235 0.500
Hg6 Hg 0.926 0.415 0.171
```


- Number 12 is which compound?
  Ho5InHg6


Copy entry 3 word for word.
The following is a calculated powder XRD pattern of HoHg7. It was derived from a cell relaxed with PBE, using copper Kα.
Lines closer than 0.1° are merged.

Main lines, by angle (2θ = 15–90°):
2θ/deg, I (rel.)
33.57, 100
37.87, 18
39.49, 32
55.87, 24
57.07, 11
65.67, 15
67.86, 27
70.55, 12
80.94, 2
85.00, 4

Structural model:
```
data_HoHg7
_chemical_formula_sum 'Ho1 Hg7'
_cell_length_a 10.035
_cell_length_b 10.035
_cell_length_c 10.035
_cell_angle_alpha 153.71
_cell_angle_beta 153.71
_cell_angle_gamma 37.52
_space_group_name_H-M_alt 'P 1'
_space_group_IT_number 1
loop_
_space_group_symop_operation_xyz
'x,y,z'
loop_
_atom_site_label
_atom_site_type_symbol
_atom_site_fract_x
_atom_site_fract_y
_atom_site_fract_z
Ho1 Ho 0.000 0.000 0.000
Hg1 Hg 0.123 0.623 0.500
Hg2 Hg 0.251 0.251 0.000
Hg3 Hg 0.377 0.877 0.500
Hg4 Hg 0.500 0.500 0.000
Hg5 Hg 0.623 0.123 0.500
Hg6 Hg 0.749 0.749 0.000
Hg7 Hg 0.877 0.377 0.500
```